Calculated powder diffraction line list of CeMn2O4 for CuKα, from a GGA+U-relaxed structure.
No peak broadening, texture or thermal motion is included.

Main lines, most intense first (15 to 90 degrees two-theta):
(1 1 -1), 29.51 deg, intensity 1000; (2 0 -1), 19.84 deg, intensity 706; (2 0 0), 16.00 deg, intensity 600; (4 0 -1), 32.08 deg, intensity 581; (2 0 1), 26.49 deg, intensity 416; (3 1 0), 34.43 deg, intensity 408; (3 1 -2), 43.98 deg, intensity 405; (4 0 1), 40.89 deg, intensity 311; (7 1 -1), 61.71 deg, intensity 254; (0 0 2), 34.27 deg, intensity 242; (5 1 -2), 52.41 deg, intensity 230; (3 1 2), 54.36 deg, intensity 216

```
CeMn2O4
1.0
11.5314 0.0000 0.0000
0.0000 3.6751 0.0000
-1.5150 0.0000 5.2328
Ce Mn O
2 4 8
Direct
0.0000 0.0000 0.0000
0.5000 0.5000 0.0000
0.1436 0.5000 0.5224
0.3564 0.0000 0.4776
0.6436 0.0000 0.5224
0.8564 0.5000 0.4776
0.0488 0.5000 0.7911
0.1636 0.0000 0.3375
0.3364 0.5000 0.6625
0.4512 0.0000 0.2089
0.5488 0.0000 0.7911
0.6636 0.5000 0.3375
0.8364 0.0000 0.6625
0.9512 0.5000 0.2089
```